Calculated X-ray powder pattern
Compound: CeIn2Pd3
Radiation: a wavelength of 1.5418 Å
Structure: a crystal structure in the Materials Project, relaxed with PBE
Kinematic intensities with the Lorentz-polarization factor, no thermal factor.

Most intense lines, 2θ from 5° to 70°, by angle:
| 2θ (°) | intensity | (hkl) |
| --- | --- | --- |
| 33.6 | 767 | 3 1 1 |
| 34.2 | 283 | 1 1 3 |
| 37.2 | 237 | 1 0 4 |
| 37.5 | 1000 | 2 1 3 |
| 38.4 | 692 | 0 2 0 |
| 40.3 | 289 | 2 0 4 |
| 41.1 | 594 | 4 1 1 |
| 42.6 | 158 | 3 1 3 |
| 56.8 | 214 | 2 2 4 |
| 68.8 | 163 | 2 3 3 |

Structural model:
Cell: 10.266 4.693 9.951 Å, 90.00 90.00 90.00°
Space group Pnma (No. 62)
One atom of each set of equivalent atoms:
1 Ce 0.230 0.250 0.058 (multiplicity 4)
2 In 0.017 0.250 0.615 (multiplicity 4)
3 In 0.105 0.750 0.840 (multiplicity 4)
4 Pd 0.026 0.750 0.105 (multiplicity 4)
5 Pd 0.120 0.250 0.353 (multiplicity 4)
6 Pd 0.244 0.250 0.763 (multiplicity 4)

=====

Calculated X-ray powder pattern
Compound: CeIn2Pd
Radiation: a wavelength of 1.5418 Å
Structure: a crystal structure in the Materials Project, relaxed with PBE
Kinematic intensities with the Lorentz-polarization factor, no thermal factor.

Most intense lines, 2θ from 5° to 70°, by angle:
| 2θ (°) | intensity | (hkl) |
| --- | --- | --- |
| 31.6 | 1000 | 1 1 2 |
| 33.7 | 140 | 0 4 0 |
| 33.9 | 610 | 1 3 1 |
| 35.8 | 256 | 0 4 1 |
| 38.5 | 401 | 2 0 0 |
| 39.7 | 192 | 0 2 3 |
| 39.9 | 336 | 1 3 2 |
| 41.7 | 179 | 1 1 3 |
| 53.6 | 159 | 2 4 1 |
| 64.5 | 152 | 1 7 0 |

Structural model:
Cell: 4.674 10.639 7.538 Å, 90.00 90.00 90.00°
Space group Cmcm (No. 63)
One atom of each set of equivalent atoms:
1 Ce 0.000 0.080 0.250 (multiplicity 4)
2 In 0.000 0.363 0.050 (multiplicity 8)
3 Pd 0.000 0.205 0.750 (multiplicity 4)

=====

Calculated X-ray powder pattern
Compound: Ce2In8Pt
Radiation: a wavelength of 1.5418 Å
Structure: a crystal structure in the Materials Project, relaxed with PBE
Kinematic intensities with the Lorentz-polarization factor, no thermal factor.

Most intense lines, 2θ from 5° to 70°, by angle:
| 2θ (°) | intensity | (hkl) |
| --- | --- | --- |
| 18.7 | 88 | 1 0 0 |
| 30.5 | 184 | 1 1 2 |
| 34.7 | 1000 | 1 1 3 |
| 36.8 | 113 | 0 0 5 |
| 38.0 | 530 | 2 0 0 |
| 40.0 | 115 | 1 1 4 |
| 53.9 | 145 | 2 0 5 |
| 54.9 | 179 | 2 2 0 |
| 66.6 | 326 | 3 1 3 |
| 67.4 | 95 | 1 1 8 |

Structural model:
Cell: 4.734 4.734 12.214 Å, 90.00 90.00 90.00°
Space group P4/mmm (No. 123)
One atom of each set of equivalent atoms:
1 Ce 0.000 0.000 0.193 (multiplicity 2)
2 In 0.000 0.500 0.000 (multiplicity 2)
3 In 0.000 0.500 0.376 (multiplicity 4)
4 In 0.500 0.500 0.192 (multiplicity 2)
5 Pt 0.000 0.000 0.500 (multiplicity 1)

=====

Calculated X-ray powder pattern
Compound: CeIn2Pt2
Radiation: a wavelength of 1.5418 Å
Structure: a crystal structure in the Materials Project, relaxed with PBE
Kinematic intensities with the Lorentz-polarization factor, no thermal factor.

Most intense lines, 2θ from 5° to 70°, by angle:
| 2θ (°) | intensity | (hkl) |
| --- | --- | --- |
| 22.0 | 181 | 0 1 1 |
| 32.9 | 239 | 3 1 -1 |
| 33.2 | 696 | 2 1 -3 |
| 33.3 | 445 | 3 1 -2 |
| 34.7 | 243 | 1 0 3 |
| 35.3 | 236 | 0 1 3 |
| 35.4 | 597 | 3 1 0 |
| 40.1 | 1000 | 0 2 0 |
| 40.3 | 555 | 1 1 3 |
| 41.8 | 242 | 3 1 -4 |

Structural model:
Cell: 10.339 4.498 10.383 Å, 90.00 117.18 90.00°
Space group P2_1/m (No. 11)
One atom of each set of equivalent atoms:
1 Ce 0.047 0.250 0.295 (multiplicity 2)
2 Ce 0.402 0.250 0.210 (multiplicity 2)
3 In 0.117 0.750 0.073 (multiplicity 2)
4 In 0.231 0.750 0.601 (multiplicity 2)
5 In 0.354 0.750 0.947 (multiplicity 2)
6 In 0.407 0.250 0.539 (multiplicity 2)
7 Pt 0.069 0.250 0.604 (multiplicity 2)
8 Pt 0.157 0.250 0.920 (multiplicity 2)
9 Pt 0.292 0.750 0.362 (multiplicity 2)
10 Pt 0.380 0.250 0.797 (multiplicity 2)